# 1
Structure and computed powder diffractogram of BaU2Se5 (a structure optimized by DFT (GGA-PBE); Cu Kα X-rays).
No peak broadening, texture or thermal motion is included.

The 10 most intense peaks (10 to 80 degrees two-theta), sorted by position:
- d 8.839, I = 51.5
- d 3.941, I = 44.5
- d 3.678, I = 81.9
- d 3.641, I = 100.0
- d 3.601, I = 43.0
- d 2.866, I = 71.6
- d 2.659, I = 80.1
- d 2.650, I = 66.4
- d 2.520, I = 53.0
- d 2.211, I = 78.7

```
data_BaU2Se5
_chemical_formula_sum 'Ba4 U8 Se20'
_symmetry_space_group_name_H-M 'P 1'
_symmetry_Int_Tables_number 1
_symmetry_space_group_name_Hall 'P 1'
_cell_length_a 8.8389
_cell_length_b 7.8829
_cell_length_c 12.3171
_cell_angle_alpha 90.00
_cell_angle_beta 90.35
_cell_angle_gamma 90.00
loop_
_atom_site_label
_atom_site_fract_x
_atom_site_fract_y
_atom_site_fract_z
Ba1 0.0083 0.0550 0.3311
Ba2 0.0083 0.4450 0.8311
Ba3 0.9917 0.5550 0.1689
Ba4 0.9917 0.9450 0.6689
U1 0.2569 0.5706 0.4922
U2 0.2569 0.9294 0.9922
U3 0.4993 0.5237 0.1818
U4 0.4993 0.9763 0.6818
U5 0.5007 0.0237 0.3182
U6 0.5007 0.4763 0.8182
U7 0.7431 0.0706 0.0078
U8 0.7431 0.4294 0.5078
Se1 0.0384 0.1775 0.0715
Se2 0.0384 0.3225 0.5715
Se3 0.2745 0.6885 0.7155
Se4 0.2745 0.8115 0.2155
Se5 0.2837 0.1605 0.8122
Se6 0.2837 0.3395 0.3122
Se7 0.2920 0.5486 0.9982
Se8 0.2920 0.9514 0.4982
Se9 0.4543 0.1650 0.0973
Se10 0.4543 0.3350 0.5973
Se11 0.5457 0.6650 0.4027
Se12 0.5457 0.8350 0.9027
Se13 0.7080 0.0486 0.5018
Se14 0.7080 0.4514 0.0018
Se15 0.7163 0.6605 0.6878
Se16 0.7163 0.8395 0.1878
Se17 0.7255 0.1885 0.7845
Se18 0.7255 0.3115 0.2845
Se19 0.9616 0.6775 0.4285
Se20 0.9616 0.8225 0.9285
```

---

# 2
Structure and computed powder diffractogram of Ba2Zr3Si7 (a structure optimized by DFT (GGA-PBE); Cu Kα X-rays).
No peak broadening, texture or thermal motion is included.

The 10 most intense peaks (10 to 80 degrees two-theta), sorted by position:
- d 4.374, I = 22.3
- d 3.452, I = 29.0
- d 2.902, I = 100.0
- d 2.864, I = 59.8
- d 2.525, I = 31.0
- d 2.304, I = 55.5
- d 2.116, I = 20.2
- d 1.905, I = 22.9
- d 1.653, I = 22.1
- d 1.605, I = 20.4

```
data_Ba2Zr3Si7
_chemical_formula_sum 'Ba2 Zr3 Si7'
_symmetry_space_group_name_H-M 'P 1'
_symmetry_Int_Tables_number 1
_symmetry_space_group_name_Hall 'P 1'
_cell_length_a 8.7482
_cell_length_b 8.7482
_cell_length_c 3.8776
_cell_angle_alpha 90.00
_cell_angle_beta 90.00
_cell_angle_gamma 120.00
loop_
_atom_site_label
_atom_site_fract_x
_atom_site_fract_y
_atom_site_fract_z
Ba1 0.3333 0.6667 0.0000
Ba2 0.6667 0.3333 0.0000
Zr1 0.0000 0.2300 0.5000
Zr2 0.2300 0.0000 0.5000
Zr3 0.7700 0.7700 0.5000
Si1 0.0000 0.0000 0.0000
Si2 0.0000 0.5797 0.5000
Si3 0.0000 0.7379 0.0000
Si4 0.2621 0.2621 0.0000
Si5 0.4203 0.4203 0.5000
Si6 0.5797 0.0000 0.5000
Si7 0.7379 0.0000 0.0000
```

---

# 3
Structure and computed powder diffractogram of BaSrZn4 (a structure optimized by DFT (GGA-PBE); Cu Kα X-rays).
No peak broadening, texture or thermal motion is included.

The 10 most intense peaks (10 to 80 degrees two-theta), sorted by position:
- d 2.857, I = 100.0
- d 2.800, I = 24.7
- d 2.505, I = 28.2
- d 2.416, I = 27.2
- d 2.315, I = 33.6
- d 1.829, I = 13.8
- d 1.785, I = 10.2
- d 1.739, I = 18.2
- d 1.505, I = 19.8
- d 1.466, I = 12.7

```
data_BaSrZn4
_chemical_formula_sum 'Ba1 Sr1 Zn4'
_symmetry_space_group_name_H-M 'P 1'
_symmetry_Int_Tables_number 1
_symmetry_space_group_name_Hall 'P 1'
_cell_length_a 6.0985
_cell_length_b 6.0985
_cell_length_c 6.0985
_cell_angle_alpha 133.31
_cell_angle_beta 98.97
_cell_angle_gamma 99.10
loop_
_atom_site_label
_atom_site_fract_x
_atom_site_fract_y
_atom_site_fract_z
Ba1 0.0000 0.0000 0.0000
Sr1 0.5949 0.0949 0.5000
Zn1 0.0338 0.7193 0.3145
Zn2 0.2046 0.3888 0.8157
Zn3 0.4048 0.7193 0.6855
Zn4 0.5731 0.3888 0.1843
```

---

# 4
Structure and computed powder diffractogram of BaTbTm4 (a structure optimized by DFT (GGA-PBE); Cu Kα X-rays).
No peak broadening, texture or thermal motion is included.

The 10 most intense peaks (10 to 80 degrees two-theta), sorted by position:
- d 4.413, I = 63.3
- d 3.537, I = 100.0
- d 2.958, I = 54.4
- d 2.795, I = 27.9
- d 2.787, I = 21.8
- d 2.524, I = 65.6
- d 2.457, I = 27.9
- d 2.030, I = 40.2
- d 1.963, I = 67.4
- d 1.431, I = 24.3

```
data_BaTbTm4
_chemical_formula_sum 'Ba1 Tb1 Tm4'
_symmetry_space_group_name_H-M 'P 1'
_symmetry_Int_Tables_number 1
_symmetry_space_group_name_Hall 'P 1'
_cell_length_a 6.2412
_cell_length_b 6.2412
_cell_length_c 5.9151
_cell_angle_alpha 90.00
_cell_angle_beta 90.00
_cell_angle_gamma 90.22
loop_
_atom_site_label
_atom_site_fract_x
_atom_site_fract_y
_atom_site_fract_z
Ba1 0.0000 0.0000 0.0000
Tb1 0.5000 0.5000 0.5000
Tm1 0.1734 0.8266 0.5000
Tm2 0.3325 0.3325 0.0000
Tm3 0.6675 0.6675 0.0000
Tm4 0.8266 0.1734 0.5000
```

---

# 5
Structure and computed powder diffractogram of BaZr2Tc (a structure optimized by DFT (GGA-PBE); Cu Kα X-rays).
No peak broadening, texture or thermal motion is included.

The 7 most intense peaks (10 to 80 degrees two-theta), sorted by position:
- d 4.169, I = 1.9
- d 3.610, I = 0.6
- d 2.553, I = 100.0
- d 2.177, I = 1.1
- d 1.805, I = 17.4
- d 1.474, I = 35.3
- d 1.276, I = 10.8

```
data_BaZr2Tc
_chemical_formula_sum 'Ba1 Zr2 Tc1'
_symmetry_space_group_name_H-M 'P 1'
_symmetry_Int_Tables_number 1
_symmetry_space_group_name_Hall 'P 1'
_cell_length_a 5.1058
_cell_length_b 5.1058
_cell_length_c 5.1058
_cell_angle_alpha 60.00
_cell_angle_beta 60.00
_cell_angle_gamma 60.00
loop_
_atom_site_label
_atom_site_fract_x
_atom_site_fract_y
_atom_site_fract_z
Ba1 0.0000 0.0000 0.0000
Zr1 0.5000 0.5000 0.5000
Zr2 0.7500 0.7500 0.7500
Tc1 0.2500 0.2500 0.2500
```

---

# 6
Structure and computed powder diffractogram of BaZr2Te4 (a structure optimized by DFT (GGA-PBE); Cu Kα X-rays).
No peak broadening, texture or thermal motion is included.

The 10 most intense peaks (10 to 80 degrees two-theta), sorted by position:
- d 6.087, I = 25.2
- d 4.330, I = 12.8
- d 3.407, I = 50.4
- d 3.385, I = 50.6
- d 3.086, I = 23.8
- d 3.054, I = 27.8
- d 2.726, I = 100.0
- d 2.021, I = 21.1
- d 2.012, I = 19.9
- d 1.845, I = 12.1

```
data_BaZr2Te4
_chemical_formula_sum 'Ba2 Zr4 Te8'
_symmetry_space_group_name_H-M 'P 1'
_symmetry_Int_Tables_number 1
_symmetry_space_group_name_Hall 'P 1'
_cell_length_a 7.0396
_cell_length_b 7.0396
_cell_length_c 12.3450
_cell_angle_alpha 90.00
_cell_angle_beta 90.00
_cell_angle_gamma 120.33
loop_
_atom_site_label
_atom_site_fract_x
_atom_site_fract_y
_atom_site_fract_z
Ba1 0.0000 0.0000 0.2500
Ba2 0.0000 0.0000 0.7500
Zr1 0.2524 0.7446 0.0000
Zr2 0.2554 0.7476 0.5000
Zr3 0.7446 0.2524 0.5000
Zr4 0.7476 0.2554 0.0000
Te1 0.0000 0.5000 0.1816
Te2 0.0000 0.5000 0.8184
Te3 0.1757 0.3113 0.5000
Te4 0.3113 0.1757 0.0000
Te5 0.5000 0.0000 0.3184
Te6 0.5000 0.0000 0.6816
Te7 0.6887 0.8243 0.0000
Te8 0.8243 0.6887 0.5000
```

---

Repeat the second record exactly.
Structure and computed powder diffractogram of Ba2Zr3Si7 (a structure optimized by DFT (GGA-PBE); Cu Kα X-rays).
No peak broadening, texture or thermal motion is included.

The 10 most intense peaks (10 to 80 degrees two-theta), sorted by position:
- d 4.374, I = 22.3
- d 3.452, I = 29.0
- d 2.902, I = 100.0
- d 2.864, I = 59.8
- d 2.525, I = 31.0
- d 2.304, I = 55.5
- d 2.116, I = 20.2
- d 1.905, I = 22.9
- d 1.653, I = 22.1
- d 1.605, I = 20.4

```
data_Ba2Zr3Si7
_chemical_formula_sum 'Ba2 Zr3 Si7'
_symmetry_space_group_name_H-M 'P 1'
_symmetry_Int_Tables_number 1
_symmetry_space_group_name_Hall 'P 1'
_cell_length_a 8.7482
_cell_length_b 8.7482
_cell_length_c 3.8776
_cell_angle_alpha 90.00
_cell_angle_beta 90.00
_cell_angle_gamma 120.00
loop_
_atom_site_label
_atom_site_fract_x
_atom_site_fract_y
_atom_site_fract_z
Ba1 0.3333 0.6667 0.0000
Ba2 0.6667 0.3333 0.0000
Zr1 0.0000 0.2300 0.5000
Zr2 0.2300 0.0000 0.5000
Zr3 0.7700 0.7700 0.5000
Si1 0.0000 0.0000 0.0000
Si2 0.0000 0.5797 0.5000
Si3 0.0000 0.7379 0.0000
Si4 0.2621 0.2621 0.0000
Si5 0.4203 0.4203 0.5000
Si6 0.5797 0.0000 0.5000
Si7 0.7379 0.0000 0.0000
```